1.
Starting from a structure optimized by DFT (PBE), the X-ray powder pattern of NaUAu2I8 was calculated for copper Kα.
Lines closer than 0.1° are merged.

Cell and atoms:
abc: 7.6761 8.2648 9.4656
angles: 106.89 90.20 111.17
Space group P-1 (No. 2)
Asymmetric unit:
Na  0.0000  0.0000  0.0000 x1
U  0.0000  0.0000  0.5000 x1
Au  0.0776  0.4253  0.7636 x2
I  0.2032  0.7459  0.4581 x2
I  0.2358  0.7565  0.9587 x2
I  0.2613  0.2075  0.3324 x2
I  0.2809  0.2091  0.7712 x2

Most intense lines, 2θ = 15–90°, sorted by position:
- 15.50 deg, 5.718 Å, rel. 51, (1 -1 1)
- 24.52 deg, 3.630 Å, rel. 100, (1 1 -2)
- 25.07 deg, 3.553 Å, rel. 23, (2 -1 1)
- 27.59 deg, 3.233 Å, rel. 31, (2 -2 0)
- 32.16 deg, 2.783 Å, rel. 58, (1 1 2)
- 33.82 deg, 2.650 Å, rel. 25, (2 1 -2)
- 35.91 deg, 2.500 Å, rel. 28, (2 -3 0)
- 40.29 deg, 2.238 Å, rel. 46, (3 -2 2)
- 41.59 deg, 2.171 Å, rel. 30, (2 2 0)
- 47.62 deg, 1.910 Å, rel. 26, (2 -3 4)

=====

2.
Starting from a structure optimized by DFT (PBE), the X-ray powder pattern of Co24Re5 was calculated for copper Kα.
Lines closer than 0.1° are merged.

Cell and atoms:
abc: 8.7352 8.7352 8.7352
angles: 90.00 90.00 90.00
Space group I-43m (No. 217)
Asymmetric unit:
Co  0.0400  0.3590  0.3590 x24
Co  0.0922  0.0922  0.2842 x24
Re  0.0000  0.0000  0.0000 x2
Re  0.1785  0.1785  0.8215 x8

Most intense lines, 2θ = 15–90°, sorted by position:
- 24.97 deg, 3.566 Å, rel. 15, (2 1 1)
- 38.56 deg, 2.335 Å, rel. 13, (3 2 1)
- 43.98 deg, 2.059 Å, rel. 100, (3 3 0)
- 48.91 deg, 1.862 Å, rel. 12, (3 3 2)
- 51.23 deg, 1.783 Å, rel. 12, (4 2 2)
- 63.95 deg, 1.456 Å, rel. 5, (6 0 0)
- 65.92 deg, 1.417 Å, rel. 7, (5 3 2)
- 77.23 deg, 1.235 Å, rel. 9, (5 5 0)
- 80.86 deg, 1.189 Å, rel. 23, (6 3 3)
- 88.04 deg, 1.109 Å, rel. 5, (6 5 1)

=====

3.
Starting from a structure optimized by DFT (PBE), the X-ray powder pattern of AlPb2C was calculated for copper Kα.
Lines closer than 0.1° are merged.

Cell and atoms:
abc: 6.1081 6.1081 11.0917
angles: 90.00 90.00 90.00
Space group I-42d (No. 122)
Asymmetric unit:
Al  0.0000  0.0000  0.0000 x4
Pb  0.1880  0.2500  0.6250 x8
C  0.0000  0.0000  0.5000 x4

Most intense lines, 2θ = 15–90°, sorted by position:
- 26.15 deg, 3.408 Å, rel. 100, (1 1 2)
- 29.24 deg, 3.054 Å, rel. 25, (2 0 0)
- 32.28 deg, 2.773 Å, rel. 14, (0 0 4)
- 33.79 deg, 2.652 Å, rel. 21, (2 1 1)
- 41.08 deg, 2.197 Å, rel. 11, (2 1 3)
- 41.83 deg, 2.160 Å, rel. 11, (2 2 0)
- 44.11 deg, 2.053 Å, rel. 26, (2 0 4)
- 50.00 deg, 1.824 Å, rel. 18, (3 1 2)
- 53.95 deg, 1.699 Å, rel. 14, (1 1 6)
- 54.82 deg, 1.675 Å, rel. 10, (3 2 1)

=====

4.
Starting from a structure optimized by DFT (PBE), the X-ray powder pattern of Y5GaCo2 was calculated for copper Kα.
Lines closer than 0.1° are merged.

Cell and atoms:
abc: 7.2833 7.2833 14.4541
angles: 90.00 90.00 90.00
Space group I4/mcm (No. 140)
Asymmetric unit:
Y  0.0000  0.0000  0.0000 x4
Y  0.1764  0.3236  0.1376 x16
Ga  0.0000  0.0000  0.2500 x4
Co  0.1109  0.3891  0.5000 x8

Most intense lines, 2θ = 15–90°, sorted by position:
- 30.21 deg, 2.958 Å, rel. 18, (1 1 4)
- 33.20 deg, 2.698 Å, rel. 100, (2 1 3)
- 34.84 deg, 2.575 Å, rel. 22, (2 2 0)
- 34.98 deg, 2.565 Å, rel. 75, (2 0 4)
- 39.11 deg, 2.303 Å, rel. 48, (3 1 0)
- 41.78 deg, 2.162 Å, rel. 18, (2 1 5)
- 52.17 deg, 1.753 Å, rel. 16, (4 1 1)
- 55.41 deg, 1.658 Å, rel. 16, (4 1 3)
- 59.63 deg, 1.551 Å, rel. 21, (3 3 4)
- 65.68 deg, 1.422 Å, rel. 17, (3 1 8)

=====

5.
Starting from a structure optimized by DFT (PBE), the X-ray powder pattern of TbZn4Ni4 was calculated for copper Kα.
Lines closer than 0.1° are merged.

Cell and atoms:
abc: 7.8832 7.8832 4.2375
angles: 90.00 90.00 90.00
Space group P4_2/n (No. 86, origin choice 2)
Asymmetric unit:
Tb  0.2500  0.2500  0.2500 x2
Zn  0.1187  0.8343  0.7403 x8
Ni  0.0285  0.1220  0.7590 x8

Most intense lines, 2θ = 15–90°, sorted by position:
- 33.05 deg, 2.710 Å, rel. 73, (2 1 1)
- 36.03 deg, 2.493 Å, rel. 65, (3 1 0)
- 40.39 deg, 2.233 Å, rel. 99, (3 0 1)
- 42.67 deg, 2.119 Å, rel. 56, (0 0 2)
- 46.75 deg, 1.943 Å, rel. 100, (2 3 1)
- 57.05 deg, 1.614 Å, rel. 33, (3 1 2)
- 59.82 deg, 1.546 Å, rel. 22, (1 5 0)
- 76.24 deg, 1.249 Å, rel. 21, (1 5 2)
- 76.93 deg, 1.239 Å, rel. 18, (6 1 1)
- 81.40 deg, 1.182 Å, rel. 21, (5 4 1)

=====

6.
Starting from a structure optimized by DFT (PBE), the X-ray powder pattern of PrSm5In was calculated for copper Kα.
Lines closer than 0.1° are merged.

Cell and atoms:
abc: 6.3918 6.6633 10.9382
angles: 90.00 90.00 90.00
Space group Imm2 (No. 44)
Asymmetric unit:
Pr  0.0000  0.0000  0.0000 x2
Sm  0.0000  0.2264  0.6386 x4
Sm  0.0000  0.5000  0.3868 x2
Sm  0.2391  0.0000  0.3543 x4
In  0.0000  0.5000  0.1058 x2

Most intense lines, 2θ = 15–90°, sorted by position:
- 27.90 deg, 3.198 Å, rel. 43, (0 1 3)
- 28.18 deg, 3.167 Å, rel. 31, (1 0 3)
- 31.40 deg, 2.849 Å, rel. 100, (0 2 2)
- 32.12 deg, 2.787 Å, rel. 62, (2 1 1)
- 32.45 deg, 2.759 Å, rel. 36, (2 0 2)
- 32.75 deg, 2.735 Å, rel. 21, (0 0 4)
- 39.25 deg, 2.295 Å, rel. 19, (1 2 3)
- 39.88 deg, 2.261 Å, rel. 18, (2 1 3)
- 50.75 deg, 1.799 Å, rel. 16, (2 3 1)
- 55.16 deg, 1.665 Å, rel. 21, (0 4 0)

=====

7.
Starting from a structure optimized by DFT (PBE), the X-ray powder pattern of CoCuRh was calculated for copper Kα.
Lines closer than 0.1° are merged.

Cell and atoms:
abc: 2.6793 3.5978 7.8434
angles: 90.00 90.00 90.00
Space group Imm2 (No. 44)
Asymmetric unit:
Co  0.0000  0.0000  0.0000 x2
Cu  0.0000  0.0000  0.6650 x2
Rh  0.0000  0.0000  0.3373 x2

Most intense lines, 2θ = 15–90°, sorted by position:
- 27.27 deg, 3.270 Å, rel. 10, (0 1 1)
- 42.05 deg, 2.149 Å, rel. 100, (1 1 0)
- 42.75 deg, 2.115 Å, rel. 95, (0 1 3)
- 48.66 deg, 1.871 Å, rel. 64, (1 0 3)
- 50.75 deg, 1.799 Å, rel. 28, (0 2 0)
- 70.26 deg, 1.340 Å, rel. 10, (2 0 0)
- 72.95 deg, 1.297 Å, rel. 36, (1 2 3)
- 85.87 deg, 1.132 Å, rel. 23, (2 1 3)
- 87.30 deg, 1.117 Å, rel. 22, (1 1 6)
- 89.54 deg, 1.095 Å, rel. 11, (1 3 0)

=====

8.
Starting from a structure optimized by DFT (PBE), the X-ray powder pattern of HfMg6Ga was calculated for copper Kα.
Lines closer than 0.1° are merged.

Cell and atoms:
abc: 4.9954 6.0410 11.2324
angles: 90.00 90.00 90.00
Space group Amm2 (No. 38)
Asymmetric unit:
Hf  0.0000  0.0000  0.0000 x2
Mg  0.0000  0.2503  0.2474 x4
Mg  0.5000  0.0000  0.1548 x2
Mg  0.5000  0.0000  0.6437 x2
Mg  0.5000  0.2447  0.9036 x4
Ga  0.0000  0.0000  0.4926 x2

Most intense lines, 2θ = 15–90°, sorted by position:
- 15.78 deg, 5.616 Å, rel. 71, (0 0 2)
- 16.66 deg, 5.320 Å, rel. 33, (0 1 1)
- 17.76 deg, 4.995 Å, rel. 53, (1 0 0)
- 23.84 deg, 3.733 Å, rel. 52, (1 0 2)
- 24.44 deg, 3.642 Å, rel. 27, (1 1 1)
- 33.69 deg, 2.660 Å, rel. 46, (0 2 2)
- 35.96 deg, 2.498 Å, rel. 40, (2 0 0)
- 36.71 deg, 2.448 Å, rel. 67, (1 0 4)
- 38.34 deg, 2.348 Å, rel. 100, (1 2 2)
- 50.10 deg, 1.821 Å, rel. 30, (2 2 2)

=====

9.
Starting from a structure optimized by DFT (PBE), the X-ray powder pattern of Tm3BiO7 was calculated for copper Kα.
Lines closer than 0.1° are merged.

Cell and atoms:
abc: 7.4990 10.6011 7.5778
angles: 90.00 90.00 90.00
Space group Cmcm (No. 63)
Asymmetric unit:
Tm  0.0000  0.0000  0.0000 x4
Tm  0.2334  0.2638  0.2500 x8
Bi  0.0000  0.5000  0.0000 x4
O  0.0000  0.1327  0.7500 x4
O  0.0000  0.1369  0.2500 x4
O  0.0000  0.4090  0.2500 x4
O  0.2131  0.3724  0.5305 x16

Most intense lines, 2θ = 15–90°, sorted by position:
- 28.97 deg, 3.082 Å, rel. 100, (0 2 2)
- 29.17 deg, 3.061 Å, rel. 99, (2 2 0)
- 33.63 deg, 2.665 Å, rel. 49, (2 0 2)
- 33.82 deg, 2.650 Å, rel. 23, (0 4 0)
- 48.03 deg, 1.894 Å, rel. 16, (0 0 4)
- 48.44 deg, 1.879 Å, rel. 60, (2 4 2)
- 48.56 deg, 1.875 Å, rel. 14, (4 0 0)
- 57.18 deg, 1.611 Å, rel. 30, (2 2 4)
- 57.55 deg, 1.602 Å, rel. 41, (4 2 2)
- 78.59 deg, 1.217 Å, rel. 16, (4 6 2)

=====

10.
Starting from a structure optimized by DFT (PBE), the X-ray powder pattern of Ba7In2Ag2 was calculated for copper Kα.
Lines closer than 0.1° are merged.

Cell and atoms:
abc: 9.2387 13.0012 8.4290
angles: 90.00 90.00 90.00
Space group Cmmm (No. 65)
Asymmetric unit:
Ba  0.0000  0.0000  0.0000 x2
Ba  0.0000  0.5000  0.2620 x4
Ba  0.2500  0.2500  0.2708 x8
In  0.1596  0.0000  0.5000 x4
Ag  0.0000  0.2952  0.0000 x4

Most intense lines, 2θ = 15–90°, sorted by position:
- 21.94 deg, 4.051 Å, rel. 37, (2 0 1)
- 23.63 deg, 3.765 Å, rel. 48, (2 2 0)
- 24.20 deg, 3.678 Å, rel. 47, (1 1 2)
- 27.44 deg, 3.250 Å, rel. 65, (0 4 0)
- 28.67 deg, 3.113 Å, rel. 19, (2 0 2)
- 31.14 deg, 2.872 Å, rel. 56, (1 3 2)
- 31.87 deg, 2.808 Å, rel. 100, (2 2 2)
- 37.39 deg, 2.405 Å, rel. 26, (3 3 1)
- 42.92 deg, 2.107 Å, rel. 21, (0 0 4)
- 51.70 deg, 1.768 Å, rel. 19, (0 4 4)

=====

11.
Starting from a structure optimized by DFT (PBE), the X-ray powder pattern of LaY2Pd9 was calculated for copper Kα.
Lines closer than 0.1° are merged.

Cell and atoms:
abc: 4.1756 4.1756 12.4520
angles: 90.00 90.00 90.00
Space group P4/mmm (No. 123)
Asymmetric unit:
La  0.0000  0.0000  0.0000 x1
Y  0.0000  0.0000  0.3371 x2
Pd  0.0000  0.5000  0.1720 x4
Pd  0.0000  0.5000  0.5000 x2
Pd  0.5000  0.5000  0.0000 x1
Pd  0.5000  0.5000  0.3352 x2

Most intense lines, 2θ = 15–90°, sorted by position:
- 33.59 deg, 2.668 Å, rel. 1, (1 1 2)
- 37.38 deg, 2.406 Å, rel. 100, (1 1 3)
- 43.34 deg, 2.088 Å, rel. 33, (2 0 0)
- 43.61 deg, 2.075 Å, rel. 16, (0 0 6)
- 62.96 deg, 1.476 Å, rel. 11, (2 2 0)
- 63.17 deg, 1.472 Å, rel. 21, (2 0 6)
- 75.57 deg, 1.258 Å, rel. 24, (3 1 3)
- 75.95 deg, 1.253 Å, rel. 12, (1 1 9)
- 79.71 deg, 1.203 Å, rel. 10, (2 2 6)

=====

12.
Starting from a structure optimized by DFT (PBE), the X-ray powder pattern of Tl6V3Cl14 was calculated for copper Kα.
Lines closer than 0.1° are merged.

Cell and atoms:
abc: 11.6690 11.6690 6.2933
angles: 90.00 90.00 120.00
Space group P3 (No. 143)
Asymmetric unit:
Tl  0.0093  0.5627  0.0000 x3
Tl  0.3246  0.1074  0.4958 x3
V  0.0000  0.0000  0.9231 x1
V  0.3333  0.6667  0.4338 x1
V  0.6667  0.3333  0.7548 x1
Cl  0.0000  0.0000  0.2785 x1
Cl  0.0736  0.8677  0.7994 x3
Cl  0.1966  0.4619  0.3106 x3
Cl  0.3333  0.6667  0.7899 x1
Cl  0.4626  0.1964  0.9703 x3
Cl  0.5318  0.4026  0.5377 x3

Most intense lines, 2θ = 15–90°, sorted by position:
- 17.55 deg, 5.053 Å, rel. 25, (2 0 0)
- 20.76 deg, 4.279 Å, rel. 44, (1 1 1)
- 22.57 deg, 3.940 Å, rel. 100, (2 0 1)
- 30.65 deg, 2.917 Å, rel. 19, (2 2 0)
- 31.93 deg, 2.803 Å, rel. 44, (1 3 0)
- 33.55 deg, 2.671 Å, rel. 20, (0 2 2)
- 35.05 deg, 2.560 Å, rel. 48, (4 -3 1)
- 37.01 deg, 2.429 Å, rel. 20, (3 -1 2)
- 43.23 deg, 2.093 Å, rel. 26, (4 -1 2)
- 43.48 deg, 2.081 Å, rel. 21, (5 -1 1)